No. 1
Calculated powder XRD pattern
Compound: Nd3Mg2Au4
Radiation: Cu Kα X-rays
Structure: a GGA-PBE-relaxed structure
No peak broadening, texture or thermal motion is included.

Main lines, by intensity (10 to 90 degrees two-theta):
Position (°2θ)  I_rel
37.13  100
36.45  99
32.51  67
39.30  60
23.06  60
36.65  44
23.49  41
34.40  37
38.74  35
19.10  33

Crystal structure
```
Nd3Mg2Au4
1.0
5.176 -2.293 0.000
5.176 2.293 0.000
-0.558 0.000 9.307
Nd Mg Au
3 2 4
Cartesian
0.000 0.000 0.000
3.525 0.000 5.689
6.269 0.000 3.617
3.200 0.000 2.022
6.594 0.000 7.285
0.494 0.000 5.924
2.601 0.000 8.536
7.193 0.000 0.771
9.300 0.000 3.382
```


No. 2
Calculated powder XRD pattern
Compound: Zr2Mn3Al
Radiation: Cu Kα X-rays
Structure: a GGA-PBE-relaxed structure
No peak broadening, texture or thermal motion is included.

Main lines, by intensity (10 to 90 degrees two-theta):
Position (°2θ)  I_rel
42.37  100
34.85  97
42.03  93
41.34  89
35.25  73
40.98  71
43.88  47
36.44  46
43.39  44
73.59  30

Crystal structure
```
Zr2Mn3Al
1.0
8.455 0.000 0.000
0.000 5.091 0.000
-2.819 0.000 4.252
Zr Mn Al
4 6 2
Cartesian
-0.011 0.000 1.538
1.420 2.546 2.714
4.217 2.546 1.538
5.647 0.000 2.714
0.000 2.546 0.000
2.114 1.273 0.000
2.114 3.818 0.000
4.228 0.000 0.000
6.341 1.273 0.000
6.341 3.818 0.000
-1.409 2.546 2.126
2.818 0.000 2.126
```


No. 3
Calculated powder XRD pattern
Compound: CuAg2ICl2
Radiation: Cu Kα X-rays
Structure: a GGA-PBE-relaxed structure
No peak broadening, texture or thermal motion is included.

Main lines, by intensity (10 to 90 degrees two-theta):
Position (°2θ)  I_rel
24.41  100
27.50  94
45.71  80
42.31  77
25.09  63
27.02  50
45.40  44
23.87  41
43.28  38
49.82  34

Crystal structure
```
CuAg2ICl2
1.0
6.272 -3.727 0.000
6.272 3.727 0.000
0.000 0.000 7.099
Cu Ag I Cl
2 4 2 4
Cartesian
6.272 2.364 3.549
6.272 -2.364 0.000
4.192 1.229 6.796
4.192 -1.229 3.247
8.352 1.229 6.796
8.352 -1.229 3.247
6.272 2.650 0.940
6.272 -2.650 4.489
4.292 1.273 4.164
8.251 1.273 4.164
4.292 -1.273 0.614
8.251 -1.273 0.614
```


No. 4
Calculated powder XRD pattern
Compound: Ca6In3Ga
Radiation: Cu Kα X-rays
Structure: a GGA-PBE-relaxed structure
No peak broadening, texture or thermal motion is included.

Main lines, by intensity (10 to 90 degrees two-theta):
Position (°2θ)  I_rel
33.02  100
32.63  35
22.21  22
30.56  20
58.47  18
34.75  18
45.31  12
10.06  11
24.12  9
29.74  8

Crystal structure
```
Ca6In3Ga
1.0
9.415 0.000 0.000
0.000 5.489 0.000
-4.376 0.000 11.459
Ca In Ga
12 6 2
Cartesian
-1.611 1.372 4.778
0.812 4.117 1.889
2.497 1.372 0.030
-0.290 4.117 9.450
1.941 1.372 3.880
0.923 1.372 7.265
4.117 4.117 4.194
3.099 4.117 7.579
5.330 1.372 2.009
2.543 4.117 11.430
4.227 1.372 9.570
6.651 4.117 6.681
-3.509 4.117 10.000
-2.203 1.372 8.253
0.467 4.117 5.359
4.573 1.372 6.100
7.242 4.117 3.206
8.549 1.372 1.459
3.761 4.117 1.206
1.279 1.372 10.253
```


No. 5
Calculated powder XRD pattern
Compound: Sm2HoSc4
Radiation: Cu Kα X-rays
Structure: a GGA-PBE-relaxed structure
No peak broadening, texture or thermal motion is included.

Main lines, by intensity (10 to 90 degrees two-theta):
Position (°2θ)  I_rel
32.42  100
30.07  75
30.64  63
34.20  42
38.24  24
38.73  24
47.82  23
23.95  23
65.45  21
52.61  20

Crystal structure
```
Sm2HoSc4
1.0
3.661 0.000 0.000
0.000 21.068 0.000
0.000 0.000 5.244
Sm Ho Sc
4 2 8
Cartesian
0.000 1.557 0.000
0.000 19.511 0.000
1.831 8.977 0.000
1.831 12.091 0.000
0.000 10.534 2.622
1.831 0.000 2.622
0.000 3.852 2.622
0.000 6.360 0.000
0.000 14.708 0.000
0.000 17.217 2.622
1.831 4.174 0.000
1.831 6.683 2.622
1.831 14.386 2.622
1.831 16.894 0.000
```


No. 6
Calculated powder XRD pattern
Compound: CaPr3Ge2
Radiation: Cu Kα X-rays
Structure: a GGA-PBE-relaxed structure
No peak broadening, texture or thermal motion is included.

Main lines, by intensity (10 to 90 degrees two-theta):
Position (°2θ)  I_rel
32.03  100
29.69  77
35.22  69
34.66  47
23.54  44
28.15  30
41.37  23
33.63  23
48.98  21
45.49  21

Crystal structure
```
CaPr3Ge2
1.0
8.599 -2.548 0.000
8.599 2.548 0.000
-1.490 0.000 7.971
Ca Pr Ge
2 6 4
Cartesian
2.414 0.000 2.029
13.293 0.000 5.941
-0.360 0.000 6.021
5.622 0.000 0.285
5.450 0.000 3.940
10.257 0.000 4.031
10.085 0.000 7.686
16.067 0.000 1.950
2.657 0.000 5.519
6.813 0.000 6.698
8.894 0.000 1.273
13.050 0.000 2.452
```